Diffraction record for SrAlSiH. The XRD peak list is simulated, not measured: it uses the PBE geometry in the Materials Project and copper Kα.
Peak positions follow from Bragg's law for the DFT cell and can differ from measured ones.

Structure:
```
data_SrAlSiH
_space_group_name_H-M_alt 'P 3 m 1'
_space_group_IT_number 156
_cell_length_a 4.2294
_cell_length_b 4.2294
_cell_length_c 4.9648
_cell_angle_alpha 90.00
_cell_angle_beta 90.00
_cell_angle_gamma 120.00
loop_
_space_group_symop_operation_xyz
'x,y,z'
'-y,x-y,z'
'-x+y,-x,z'
'-y,-x,z'
'-x+y,y,z'
'x,x-y,z'
loop_
_atom_site_label
_atom_site_fract_x
_atom_site_fract_y
_atom_site_fract_z
_atom_site_occupancy
Sr1 0.0000 0.0000 0.0000 1
Al1 0.6667 0.3333 0.4602 1
Si1 0.3333 0.6667 0.5546 1
H1 0.6667 0.3333 0.1075 1
```

The 12 most intense peaks (10 to 80 degrees two-theta), most intense first:
2θ/deg, d/Å, I_rel, (hkl)
30.32, 2.947, 100, 1 0 1
42.76, 2.115, 30, 1 1 0
24.30, 3.663, 22, 1 0 0
57.23, 1.610, 22, 1 1 2
53.32, 1.718, 20, 0 2 1
70.64, 1.334, 17, 2 1 1
36.19, 2.482, 14, 0 0 2
44.07, 2.055, 13, 0 1 2
61.48, 1.508, 12, 1 0 3
77.78, 1.228, 6, 0 2 3
78.31, 1.221, 5, 3 0 0
17.87, 4.965, 5, 0 0 1